Structure and calculated X-ray powder pattern of Ba4Si20Au3 (a DFT-relaxed cell (GGA-PBE, Alexandria); copper Kα).
Neutral-atom scattering factors, no anomalous dispersion.

Largest 10 diffraction maxima, by intensity, 15° ≤ 2θ ≤ 90°:
h k l, 2theta, d (Å), I/Imax
3 2 1, 31.87, 2.808, 100
2 2 2, 29.45, 3.033, 58
2 1 1, 20.71, 4.289, 49
4 0 0, 34.14, 2.626, 41
5 3 2, 53.79, 1.704, 38
4 4 0, 49.05, 1.857, 24
2 0 0, 16.88, 5.253, 20
6 3 3, 65.26, 1.430, 18
4 2 0, 38.32, 2.349, 18
2 1 0, 18.89, 4.698, 17

a b c (Å): 10.506 10.506 10.506
angles (deg): 90.00 90.00 90.00
Space group Pm-3n (No. 223)
One atom of each set of equivalent atoms:
Ba 0.000 0.000 0.000 [2 per cell]
Ba 0.000 0.250 0.500 [6 per cell]
Si 0.000 0.304 0.117 [24 per cell]
Si 0.184 0.184 0.184 [16 per cell]
Au 0.000 0.500 0.250 [6 per cell]

Structure and calculated X-ray powder pattern of Tl6PbAu8 (a DFT-relaxed cell (GGA-PBE, Alexandria); copper Kα).
Neutral-atom scattering factors, no anomalous dispersion.

Largest 10 diffraction maxima, by intensity, 15° ≤ 2θ ≤ 90°:
h k l, 2theta, d (Å), I/Imax
2 -1 6, 38.03, 2.366, 100
3 -2 2, 33.19, 2.699, 62
3 -1 1, 31.86, 2.809, 46
3 0 0, 35.75, 2.511, 34
0 1 5, 28.89, 3.090, 20
0 0 6, 31.69, 2.824, 18
0 4 5, 55.88, 1.645, 17
2 2 3, 44.65, 2.029, 16
6 -3 3, 66.59, 1.404, 14
2 2 6, 53.17, 1.723, 13

a b c (Å): 8.6999 8.6999 16.9431
angles (deg): 90.00 90.00 120.00
Space group R-3 (No. 148, hexagonal axes)
One atom of each set of equivalent atoms:
Tl 0.0026 0.2398 0.4050 [18 per cell]
Pb 0.0000 0.0000 0.0000 [3 per cell]
Au 0.0000 0.0000 0.1843 [6 per cell]
Au 0.0066 0.4036 0.5680 [18 per cell]

Structure and calculated X-ray powder pattern of DyPa4Se5 (a DFT-relaxed cell (GGA-PBE, Alexandria); copper Kα).
Neutral-atom scattering factors, no anomalous dispersion.

Largest 10 diffraction maxima, by intensity, 15° ≤ 2θ ≤ 90°:
h k l, 2theta, d (Å), I/Imax
1 0 10, 31.13, 2.873, 100
0 1 20, 43.43, 2.084, 40
1 1 0, 45.76, 1.983, 35
0 1 5, 27.33, 3.264, 28
0 2 10, 56.39, 1.632, 19
1 1 30, 72.03, 1.311, 18
2 1 10, 75.45, 1.260, 16
1 2 20, 83.02, 1.163, 13
2 0 20, 64.92, 1.436, 12
0 0 15, 25.48, 3.495, 11

a b c (Å): 3.9653 3.9653 52.4314
angles (deg): 90.00 90.00 120.00
Space group R-3m (No. 166, hexagonal axes)
One atom of each set of equivalent atoms:
Dy 0.0000 0.0000 0.0000 [3 per cell]
Pa 0.0000 0.0000 0.2000 [6 per cell]
Pa 0.0000 0.0000 0.4004 [6 per cell]
Se 0.0000 0.0000 0.1002 [6 per cell]
Se 0.0000 0.0000 0.3007 [6 per cell]
Se 0.0000 0.0000 0.5000 [3 per cell]

Structure and calculated X-ray powder pattern of Zr6GaPd (a DFT-relaxed cell (GGA-PBE, Alexandria); copper Kα).
Neutral-atom scattering factors, no anomalous dispersion.

Largest 10 diffraction maxima, by intensity, 15° ≤ 2θ ≤ 90°:
h k l, 2theta, d (Å), I/Imax
3 -1 1, 36.57, 2.457, 100
1 2 2, 40.21, 2.243, 74
4 1 0, 63.34, 1.468, 37
2 0 2, 32.60, 2.747, 33
3 -2 5, 60.79, 1.524, 22
6 -3 3, 80.04, 1.199, 19
4 0 4, 68.29, 1.374, 15
4 2 2, 77.74, 1.229, 10
0 5 4, 82.32, 1.171, 9
0 4 2, 58.17, 1.586, 8

a b c (Å): 7.7712 7.7712 9.5125
angles (deg): 90.00 90.00 120.00
Space group R-3 (No. 148, hexagonal axes)
One atom of each set of equivalent atoms:
Zr 0.0009 0.7508 0.2502 [18 per cell]
Ga 0.0000 0.0000 0.0000 [3 per cell]
Pd 0.0000 0.0000 0.5000 [3 per cell]

Structure and calculated X-ray powder pattern of ZnPtBr2 (a DFT-relaxed cell (GGA-PBE, Alexandria); copper Kα).
Neutral-atom scattering factors, no anomalous dispersion.

Largest 10 diffraction maxima, by intensity, 15° ≤ 2θ ≤ 90°:
h k l, 2theta, d (Å), I/Imax
1 1 -1, 36.15, 2.485, 100
1 0 -1, 25.91, 3.439, 77
1 1 0, 35.10, 2.557, 64
1 1 2, 44.33, 2.043, 60
1 1 -2, 40.94, 2.204, 56
0 1 2, 34.39, 2.608, 53
0 1 3, 43.80, 2.067, 51
1 1 1, 38.05, 2.365, 49
0 0 3, 35.53, 2.526, 48
0 1 1, 27.47, 3.247, 48

a b c (Å): 3.662 3.594 7.631
angles (deg): 90.00 96.67 90.00
Space group Pm (No. 6)
One atom of each set of equivalent atoms:
Zn 0.000 0.000 0.000 [1 per cell]
Pt 0.518 0.500 0.080 [1 per cell]
Br 0.263 0.500 0.763 [1 per cell]
Br 0.646 0.000 0.339 [1 per cell]

Structure and calculated X-ray powder pattern of In12Hg4Pb (a DFT-relaxed cell (GGA-PBE, Alexandria); copper Kα).
Neutral-atom scattering factors, no anomalous dispersion.

Largest 10 diffraction maxima, by intensity, 15° ≤ 2θ ≤ 90°:
h k l, 2theta, d (Å), I/Imax
2 -2 2, 31.59, 2.832, 100
1 0 -3, 31.40, 2.849, 37
0 2 0, 26.13, 3.411, 34
-3 1 1, 37.30, 2.411, 32
2 0 -2, 30.12, 2.967, 26
1 1 1, 29.56, 3.022, 21
1 2 -2, 31.74, 2.819, 20
1 1 -3, 30.62, 2.920, 20
0 2 -4, 38.54, 2.336, 19
1 -3 0, 34.75, 2.581, 17

a b c (Å): 7.401 8.574 9.470
angles (deg): 113.82 93.00 115.47
Space group P-1 (No. 2)
One atom of each set of equivalent atoms:
In 0.016 0.318 0.347 [2 per cell]
In 0.225 0.485 0.739 [2 per cell]
In 0.302 0.044 0.283 [2 per cell]
In 0.304 0.763 0.424 [2 per cell]
In 0.340 0.438 0.110 [2 per cell]
In 0.344 0.123 0.777 [2 per cell]
Hg 0.000 0.000 0.500 [1 per cell]
Hg 0.000 0.500 0.000 [1 per cell]
Hg 0.500 0.000 0.000 [1 per cell]
Hg 0.500 0.500 0.500 [1 per cell]
Pb 0.000 0.000 0.000 [1 per cell]

Structure and calculated X-ray powder pattern of Cd3Pd4Au4 (a DFT-relaxed cell (GGA-PBE, Alexandria); copper Kα).
Neutral-atom scattering factors, no anomalous dispersion.

Largest 10 diffraction maxima, by intensity, 15° ≤ 2θ ≤ 90°:
h k l, 2theta, d (Å), I/Imax
0 2 1, 38.22, 2.355, 100
-1 1 3, 37.34, 2.408, 54
1 0 3, 37.48, 2.399, 53
1 1 -2, 42.93, 2.107, 36
1 -2 2, 43.37, 2.086, 35
0 1 6, 45.52, 1.993, 31
2 -1 0, 61.55, 1.507, 12
0 3 7, 79.22, 1.209, 12
0 4 2, 81.81, 1.177, 11
0 3 -4, 63.78, 1.459, 11

a b c (Å): 3.013 5.030 13.305
angles (deg): 91.35 90.43 107.02
Space group P-1 (No. 2)
One atom of each set of equivalent atoms:
Cd 0.000 0.000 0.000 [1 per cell]
Cd 0.184 0.367 0.273 [2 per cell]
Pd 0.090 0.180 0.636 [2 per cell]
Pd 0.276 0.551 0.910 [2 per cell]
Au 0.365 0.729 0.543 [2 per cell]
Au 0.451 0.903 0.183 [2 per cell]

Structure and calculated X-ray powder pattern of BaTlHg2Sb (a DFT-relaxed cell (GGA-PBE, Alexandria); copper Kα).
Neutral-atom scattering factors, no anomalous dispersion.

Largest 10 diffraction maxima, by intensity, 15° ≤ 2θ ≤ 90°:
h k l, 2theta, d (Å), I/Imax
1 1 2, 28.61, 3.120, 100
1 1 4, 38.02, 2.367, 46
0 2 0, 34.18, 2.623, 36
2 0 0, 36.44, 2.466, 30
1 0 3, 27.92, 3.195, 27
2 2 0, 50.82, 1.797, 23
0 1 5, 39.72, 2.269, 20
2 1 5, 54.99, 1.670, 16
1 2 3, 44.70, 2.027, 15
1 3 2, 57.83, 1.594, 14

a b c (Å): 4.932 5.246 12.584
angles (deg): 90.00 90.00 90.00
Space group Imm2 (No. 44)
One atom of each set of equivalent atoms:
Ba 0.000 0.000 0.000 [2 per cell]
Tl 0.000 0.500 0.745 [2 per cell]
Hg 0.000 0.000 0.380 [2 per cell]
Hg 0.000 0.500 0.269 [2 per cell]
Sb 0.000 0.000 0.608 [2 per cell]

Structure and calculated X-ray powder pattern of Pr2TmSe2O2 (a DFT-relaxed cell (GGA-PBE, Alexandria); copper Kα).
Neutral-atom scattering factors, no anomalous dispersion.

Largest 10 diffraction maxima, by intensity, 15° ≤ 2θ ≤ 90°:
h k l, 2theta, d (Å), I/Imax
1 1 0, 29.44, 3.034, 100
1 0 5, 35.42, 2.534, 85
2 0 0, 42.12, 2.146, 47
2 1 5, 56.17, 1.637, 45
1 0 3, 26.87, 3.318, 36
2 1 11, 84.62, 1.145, 18
3 1 0, 69.24, 1.357, 18
1 1 6, 45.79, 1.982, 16
1 0 11, 69.39, 1.354, 15
2 2 0, 61.08, 1.517, 15

a b c (Å): 4.291 4.291 15.701
angles (deg): 90.00 90.00 90.00
Space group I4/mmm (No. 139)
One atom of each set of equivalent atoms:
Pr 0.000 0.000 0.127 [4 per cell]
Tm 0.000 0.000 0.500 [2 per cell]
Se 0.000 0.000 0.321 [4 per cell]
O 0.000 0.500 0.000 [4 per cell]

Structure and calculated X-ray powder pattern of La3Pm2NdDy6 (a DFT-relaxed cell (GGA-PBE, Alexandria); copper Kα).
Neutral-atom scattering factors, no anomalous dispersion.

Largest 10 diffraction maxima, by intensity, 15° ≤ 2θ ≤ 90°:
h k l, 2theta, d (Å), I/Imax
1 3 1, 30.15, 2.964, 100
2 0 2, 35.08, 2.558, 67
0 0 4, 30.58, 2.924, 32
3 3 3, 59.90, 1.544, 29
0 6 0, 50.17, 1.818, 24
1 3 5, 50.73, 1.800, 23
4 0 0, 59.65, 1.550, 14
2 0 6, 60.40, 1.533, 14
2 6 2, 62.68, 1.482, 12
4 6 0, 81.62, 1.180, 12

a b c (Å): 6.298 10.912 11.882
angles (deg): 90.00 100.16 90.00
Space group C2/m (No. 12)
One atom of each set of equivalent atoms:
La 0.000 0.000 0.000 [2 per cell]
La 0.000 0.333 0.000 [4 per cell]
Pm 0.000 0.167 0.500 [4 per cell]
Nd 0.000 0.500 0.500 [2 per cell]
Dy 0.249 0.000 0.748 [4 per cell]
Dy 0.249 0.333 0.748 [8 per cell]

Structure and calculated X-ray powder pattern of CaGa2SiRh (a DFT-relaxed cell (GGA-PBE, Alexandria); copper Kα).
Neutral-atom scattering factors, no anomalous dispersion.

Largest 10 diffraction maxima, by intensity, 15° ≤ 2θ ≤ 90°:
h k l, 2theta, d (Å), I/Imax
1 1 2, 35.24, 2.547, 100
1 1 4, 45.84, 1.980, 43
0 0 2, 16.26, 5.450, 43
1 0 3, 33.05, 2.711, 25
0 2 0, 44.41, 2.040, 23
2 0 0, 44.54, 2.034, 23
0 1 1, 23.30, 3.818, 15
0 1 5, 47.28, 1.922, 15
2 2 0, 64.72, 1.440, 14
1 2 3, 56.48, 1.629, 14

a b c (Å): 4.068 4.079 10.900
angles (deg): 90.00 90.00 90.00
Space group Imm2 (No. 44)
One atom of each set of equivalent atoms:
Ca 0.000 0.000 0.000 [2 per cell]
Ga 0.000 0.000 0.386 [2 per cell]
Ga 0.000 0.500 0.247 [2 per cell]
Si 0.000 0.000 0.615 [2 per cell]
Rh 0.000 0.500 0.736 [2 per cell]

Structure and calculated X-ray powder pattern of Dy4CO2 (a DFT-relaxed cell (GGA-PBE, Alexandria); copper Kα).
Neutral-atom scattering factors, no anomalous dispersion.

Largest 10 diffraction maxima, by intensity, 15° ≤ 2θ ≤ 90°:
h k l, 2theta, d (Å), I/Imax
2 0 2, 30.75, 2.908, 100
0 0 4, 35.65, 2.518, 57
2 2 4, 51.31, 1.781, 42
4 2 2, 61.06, 1.518, 26
2 0 6, 60.94, 1.520, 14
4 0 4, 64.04, 1.454, 13
4 2 6, 83.67, 1.156, 11
4 4 4, 86.46, 1.126, 10
2 2 8, 86.27, 1.127, 6
6 0 2, 83.77, 1.155, 5

a b c (Å): 7.117 7.117 10.090
angles (deg): 90.00 90.00 90.00
Space group P4_122 (No. 91)
One atom of each set of equivalent atoms:
Dy 0.006 0.242 0.249 [8 per cell]
Dy 0.242 0.478 0.995 [8 per cell]
C 0.245 0.500 0.750 [4 per cell]
O 0.000 0.248 0.000 [4 per cell]
O 0.270 0.270 0.375 [4 per cell]